Starting from a cell relaxed with PBE, the X-ray diffraction stick pattern of Pm4Sb3Br was computed for a wavelength of 1.5418 Å.
Lines closer than 0.1° are merged.

Structural model:
```
data_Pm4Sb3Br
_cell_length_a 7.7231
_cell_length_b 7.7231
_cell_length_c 7.7231
_cell_angle_alpha 132.01
_cell_angle_beta 132.01
_cell_angle_gamma 70.21
_symmetry_space_group_name_H-M 'P 1'
_symmetry_Int_Tables_number 1
_symmetry_space_group_name_Hall 'P 1'
loop_
_atom_site_label
_atom_site_fract_x
_atom_site_fract_y
_atom_site_fract_z
_atom_site_occupancy
Pm1 0.0000 0.5000 0.5000 1
Pm2 0.2418 0.2418 0.0000 1
Pm3 0.5000 0.0000 0.5000 1
Pm4 0.7582 0.7582 0.0000 1
Sb1 0.0000 0.0000 0.0000 1
Sb2 0.2500 0.7500 0.5000 1
Sb3 0.7500 0.2500 0.5000 1
Br1 0.5000 0.5000 0.0000 1
```

Principal peaks in the range 2θ from 10° to 80°, low angle first:
two_theta  I_rel
24.50  5
28.25  50
28.42  100
40.50  76
40.63  38
50.22  41
58.43  6
58.80  13
66.23  17
66.54  35
73.59  12
73.84  26